# 1
Structure and computed XRD peak list of Ba2Bi4Pt3 (a crystal structure in Alexandria, relaxed with GGA-PBE; a wavelength of 1.5418 Å).

```
Ba2Bi4Pt3
1.0
0.000 5.787 7.181
3.233 0.000 7.181
3.233 5.787 0.000
Ba Bi Pt
2 4 3
direct
0.129 0.129 0.871
0.871 0.871 0.129
0.196 0.521 0.479
0.479 0.804 0.196
0.521 0.196 0.804
0.804 0.479 0.521
0.000 0.000 0.500
0.500 0.500 0.000
0.500 0.500 0.500
```

Most intense lines, 2θ = 15–90°, in order of falling intensity:
2θ/deg, I_rel
32.88, 100
27.61, 56
37.43, 41
16.88, 30
34.13, 29
52.24, 28
55.47, 25
40.66, 19
37.57, 17
33.39, 16

---

# 2
Structure and computed XRD peak list of Ba3Bi4Pt4 (a crystal structure in Alexandria, relaxed with GGA-PBE; a wavelength of 1.5418 Å).

```
Ba3Bi4Pt4
1.0
4.924 0.000 0.000
0.019 4.952 0.000
2.377 1.734 13.642
Ba Bi Pt
3 4 4
direct
0.000 0.000 0.000
0.158 0.654 0.696
0.842 0.346 0.304
0.300 0.849 0.406
0.425 0.465 0.115
0.575 0.535 0.885
0.700 0.151 0.594
0.241 0.322 0.506
0.408 0.933 0.201
0.592 0.067 0.799
0.759 0.678 0.494
```

Most intense lines, 2θ = 15–90°, in order of falling intensity:
2θ/deg, I_rel
29.16, 100
36.50, 90
36.33, 69
18.31, 66
35.57, 62
28.38, 52
29.32, 50
28.18, 43
26.61, 27
39.76, 25